(1)
Theoretical powder diffraction line list
Compound: CsK2Rb5
Radiation: a wavelength of 1.5418 Å
Structure: a structure optimized by DFT (PBE)
Kinematic intensities with the Lorentz-polarization factor, no thermal factor.

The 8 most intense peaks (2θ = 15–90°), low angle first:
| two_theta | d_spacing | I (rel.) |
| --- | --- | --- |
| 22.2 | 4.004 | 51 |
| 22.5 | 3.959 | 100 |
| 31.6 | 2.831 | 21 |
| 39.1 | 2.303 | 45 |
| 39.6 | 2.277 | 22 |
| 45.8 | 1.979 | 14 |
| 61.4 | 1.511 | 12 |
| 61.7 | 1.503 | 11 |

Structural model:
```
CsK2Rb5
1.0
0.000 8.014 5.537
8.001 0.000 5.537
8.001 8.014 0.000
Cs K Rb
1 2 5
Cartesian
0.000 0.000 0.000
4.000 4.007 5.531
12.001 12.021 11.067
8.001 8.014 5.526
8.001 4.010 8.301
11.998 8.014 8.301
4.004 8.014 8.301
8.001 12.018 8.301
```

***

(2)
Theoretical powder diffraction line list
Compound: Cs3KRb4
Radiation: a wavelength of 1.5418 Å
Structure: a structure optimized by DFT (PBE)
Kinematic intensities with the Lorentz-polarization factor, no thermal factor.

The 8 most intense peaks (2θ = 15–90°), low angle first:
| two_theta | d_spacing | I (rel.) |
| --- | --- | --- |
| 21.6 | 4.111 | 100 |
| 21.9 | 4.060 | 52 |
| 31.2 | 2.871 | 21 |
| 37.7 | 2.383 | 19 |
| 38.2 | 2.354 | 45 |
| 44.1 | 2.055 | 12 |
| 50.3 | 1.816 | 11 |
| 60.2 | 1.537 | 12 |

Structural model:
```
Cs3KRb4
1.0
5.741 0.000 0.000
0.000 5.741 0.000
0.000 0.000 23.554
Cs K Rb
3 1 4
Cartesian
0.000 0.000 0.000
0.000 0.000 6.118
0.000 0.000 17.437
0.000 0.000 11.777
2.871 2.871 3.050
2.871 2.871 9.237
2.871 2.871 14.318
2.871 2.871 20.504
```